The following is a simulated powder diffractogram of LiBe22B6. It was derived from a structure optimized by DFT (PBE), using Cu Ka.
Neutral-atom scattering factors, no anomalous dispersion.

Crystal structure
Lattice parameters (Å, degrees): 6.908 6.908 6.908 60.00 60.00 60.00
Atoms (fractional coordinates):
Li 0.000 0.000 0.000
Be 0.000 0.000 0.346
Be 0.000 0.000 0.654
Be 0.000 0.346 0.000
Be 0.000 0.346 0.654
Be 0.000 0.654 0.000
Be 0.000 0.654 0.346
Be 0.148 0.617 0.617
Be 0.250 0.250 0.250
Be 0.346 0.000 0.000
Be 0.346 0.000 0.654
Be 0.346 0.654 0.000
Be 0.383 0.383 0.383
Be 0.383 0.383 0.852
Be 0.383 0.852 0.383
Be 0.617 0.148 0.617
Be 0.617 0.617 0.148
Be 0.617 0.617 0.617
Be 0.654 0.000 0.000
Be 0.654 0.000 0.346
Be 0.654 0.346 0.000
Be 0.750 0.750 0.750
Be 0.852 0.383 0.383
B 0.260 0.260 0.740
B 0.260 0.740 0.260
B 0.260 0.740 0.740
B 0.740 0.260 0.260
B 0.740 0.260 0.740
B 0.740 0.740 0.260

Top 10 peaks for 2θ from 10° to 80°, in order of rising 2θ:
18.16°, I = 13; 25.79°, I = 29; 31.73°, I = 29; 45.49°, I = 10; 48.42°, I = 100; 53.03°, I = 67; 55.66°, I = 34; 56.52°, I = 22; 63.13°, I = 41; 78.29°, I = 11